Structure and theoretical XRD peak list of TbTm3S4 (a cell relaxed with GGA-PBE; Cu Kα (λ = 1.5418 Å)).

```
TbTm3S4
1.0
5.465 0.000 0.000
0.000 5.465 0.000
0.000 0.000 5.465
Tb Tm S
1 3 4
direct
0.000 0.000 0.000 Tb
0.000 0.500 0.500 Tm
0.500 0.000 0.500 Tm
0.500 0.500 0.000 Tm
0.000 0.000 0.500 S
0.000 0.500 0.000 S
0.500 0.000 0.000 S
0.500 0.500 0.500 S
```

Main lines, low angle first (10 to 90 degrees two-theta):
2θ (°)	d [Å]	I (rel.)
28.29	3.155	847
32.78	2.732	1000
47.03	1.932	719
55.79	1.648	410
58.51	1.578	249
68.70	1.366	115
75.89	1.254	167
78.23	1.222	322
87.43	1.116	251

---

Structure and theoretical XRD peak list of CuSi2H8 (a cell relaxed with GGA-PBE; Cu Kα (λ = 1.5418 Å)).

```
CuSi2H8
1.0
4.604 -2.649 0.000
4.604 2.649 0.000
-0.113 0.000 4.512
Cu Si H
1 2 8
direct
0.000 0.000 0.000 Cu
0.200 0.200 0.384 Si
0.800 0.800 0.616 Si
0.109 0.660 0.755 H
0.142 0.142 0.718 H
0.340 0.891 0.245 H
0.345 0.345 0.234 H
0.655 0.655 0.766 H
0.660 0.109 0.755 H
0.858 0.858 0.282 H
0.891 0.340 0.245 H
```

Main lines, low angle first (10 to 90 degrees two-theta):
2θ (°)	d [Å]	I (rel.)
19.33	4.592	1000
27.33	3.263	431
27.54	3.239	447
28.04	3.183	162
33.83	2.649	256
38.99	2.310	137
39.76	2.267	302
44.03	2.057	191
44.99	2.015	198
52.66	1.738	260

---

Structure and theoretical XRD peak list of NdY4Tm5 (a cell relaxed with GGA-PBE; Cu Kα (λ = 1.5418 Å)).

```
NdY4Tm5
1.0
3.533 0.000 0.000
-0.017 7.076 0.000
-1.765 -1.753 12.524
Nd Y Tm
1 4 5
direct
0.000 0.000 0.000 Nd
0.398 0.697 0.797 Y
0.399 0.201 0.796 Y
0.601 0.799 0.204 Y
0.602 0.303 0.203 Y
0.000 0.500 0.000 Tm
0.202 0.101 0.403 Tm
0.202 0.601 0.403 Tm
0.798 0.399 0.597 Tm
0.798 0.899 0.597 Tm
```

Main lines, low angle first (10 to 90 degrees two-theta):
2θ (°)	d [Å]	I (rel.)
30.96	2.889	1000
35.86	2.504	336
35.97	2.497	167
51.65	1.770	236
51.73	1.767	118
61.41	1.510	244
61.53	1.507	140
64.55	1.444	90
84.37	1.148	86
84.48	1.147	57

---

Structure and theoretical XRD peak list of PmPr4SmEr2 (a cell relaxed with GGA-PBE; Cu Kα (λ = 1.5418 Å)).

```
PmPr4SmEr2
1.0
5.165 0.000 0.000
0.000 5.192 0.000
-0.013 0.000 10.188
Pm Pr Sm Er
1 4 1 2
direct
0.000 0.000 0.000 Pm
0.000 0.500 0.250 Pr
0.000 0.500 0.750 Pr
0.500 0.000 0.251 Pr
0.500 0.000 0.749 Pr
0.500 0.500 0.500 Sm
0.000 0.000 0.500 Er
0.500 0.500 0.000 Er
```

Main lines, low angle first (10 to 90 degrees two-theta):
2θ (°)	d [Å]	I (rel.)
30.06	2.973	1000
34.55	2.596	173
34.74	2.583	170
35.24	2.547	164
49.81	1.831	123
50.18	1.818	120
59.15	1.562	147
59.40	1.556	145
60.06	1.540	140
62.47	1.487	125

---

Structure and theoretical XRD peak list of K5In4Au4 (a cell relaxed with GGA-PBE; Cu Kα (λ = 1.5418 Å)).

```
K5In4Au4
1.0
-6.458 6.458 2.488
6.458 -6.458 2.488
6.458 6.458 -2.488
K In Au
5 4 4
direct
0.000 0.000 0.000 K
0.297 0.357 0.654 K
0.357 0.703 0.060 K
0.643 0.297 0.940 K
0.703 0.643 0.346 K
0.113 0.561 0.673 In
0.439 0.113 0.552 In
0.561 0.887 0.448 In
0.887 0.439 0.327 In
0.041 0.277 0.317 Au
0.277 0.959 0.236 Au
0.723 0.041 0.764 Au
0.959 0.723 0.683 Au
```

Main lines, low angle first (10 to 90 degrees two-theta):
2θ (°)	d [Å]	I (rel.)
19.44	4.566	564
21.76	4.084	461
23.60	3.770	308
27.39	3.256	351
30.75	2.907	855
33.81	2.651	623
35.44	2.533	307
36.10	2.488	484
39.30	2.293	1000
58.85	1.569	369

---

Structure and theoretical XRD peak list of Ac3HoAl8 (a cell relaxed with GGA-PBE; Cu Kα (λ = 1.5418 Å)).

```
Ac3HoAl8
1.0
2.912 1.681 9.530
-2.912 1.681 9.530
0.000 -3.362 9.530
Ac Ho Al
3 1 8
direct
0.000 0.000 0.000 Ac
0.125 0.125 0.125 Ac
0.500 0.500 0.500 Ac
0.625 0.625 0.625 Ho
0.058 0.561 0.561 Al
0.064 0.064 0.566 Al
0.064 0.566 0.064 Al
0.312 0.312 0.312 Al
0.561 0.058 0.561 Al
0.561 0.561 0.058 Al
0.566 0.064 0.064 Al
0.814 0.814 0.814 Al
```

Main lines, low angle first (10 to 90 degrees two-theta):
2θ (°)	d [Å]	I (rel.)
18.65	4.758	716
30.68	2.914	1000
36.15	2.485	918
48.12	1.891	200
54.53	1.683	308
58.14	1.587	195
58.19	1.585	119
63.89	1.457	200
72.54	1.303	178
88.89	1.101	166